1.
For InSbPd3, DFT lattice parameters and positions (PBE) gives the calculated X-ray diffraction stick pattern in this record (CuKα).
Peak positions follow from Bragg's law for the DFT cell and can differ from measured ones.

Cell and atoms:
a b c (Å): 8.5479 8.5479 3.3667
angles (deg): 90.00 90.00 126.76
Atoms (fractional coordinates):
In (0.0000, 0.0000, 0.0000)
In (0.5000, 0.5000, 0.5000)
Sb (0.0000, 0.5000, 0.0000)
Sb (0.5000, 0.0000, 0.0000)
Pd (0.0871, 0.3013, 0.5000)
Pd (0.3013, 0.0871, 0.5000)
Pd (0.3637, 0.6363, 0.0000)
Pd (0.6363, 0.3637, 0.0000)
Pd (0.6987, 0.9129, 0.5000)
Pd (0.9129, 0.6987, 0.5000)

Principal peaks in the range 10 to 80 degrees two-theta, in order of rising 2θ:
2theta	I_rel
26.02	47.5
28.98	35.8
34.00	79.5
35.53	41.7
35.65	28.7
41.61	42.9
42.63	54.2
42.89	100.0
47.60	28.3
54.51	27.5


2.
For MgTaCd2O6, DFT lattice parameters and positions (PBE) gives the calculated X-ray diffraction stick pattern in this record (CuKα).
Peak positions follow from Bragg's law for the DFT cell and can differ from measured ones.

Cell and atoms:
a b c (Å): 5.4299 5.6334 9.6142
angles (deg): 90.00 124.22 90.00
Atoms (fractional coordinates):
Mg (0.0000, 0.0000, 0.0000)
Mg (0.0000, 0.5000, 0.5000)
Ta (0.5000, 0.0000, 0.5000)
Ta (0.5000, 0.5000, 0.0000)
Cd (0.2302, 0.0505, 0.7493)
Cd (0.2302, 0.4495, 0.2493)
Cd (0.7698, 0.5505, 0.7507)
Cd (0.7698, 0.9495, 0.2507)
O (0.1552, 0.2023, 0.4448)
O (0.1552, 0.2977, 0.9448)
O (0.2373, 0.7124, 0.4338)
O (0.2373, 0.7876, 0.9338)
O (0.3749, 0.0444, 0.2596)
O (0.3749, 0.4556, 0.7596)
O (0.6251, 0.5444, 0.2404)
O (0.6251, 0.9556, 0.7404)
O (0.7627, 0.2124, 0.0662)
O (0.7627, 0.2876, 0.5662)
O (0.8448, 0.7023, 0.0552)
O (0.8448, 0.7977, 0.5552)

Principal peaks in the range 10 to 80 degrees two-theta, in order of rising 2θ:
2theta	I_rel
19.31	27.7
19.81	26.3
31.77	21.5
32.11	100.0
32.99	21.2
38.49	12.0
45.65	13.1
46.46	21.3
56.81	13.7
58.30	10.8


3.
For Sc2Al8Pt, DFT lattice parameters and positions (PBE) gives the calculated X-ray diffraction stick pattern in this record (CuKα).
Peak positions follow from Bragg's law for the DFT cell and can differ from measured ones.

Cell and atoms:
a b c (Å): 4.1895 4.1895 10.9057
angles (deg): 90.00 90.00 90.00
Atoms (fractional coordinates):
Sc (0.0000, 0.0000, 0.1851)
Sc (0.0000, 0.0000, 0.8149)
Al (0.0000, 0.5000, 0.0000)
Al (0.0000, 0.5000, 0.3683)
Al (0.0000, 0.5000, 0.6317)
Al (0.5000, 0.0000, 0.0000)
Al (0.5000, 0.0000, 0.3683)
Al (0.5000, 0.0000, 0.6317)
Al (0.5000, 0.5000, 0.1903)
Al (0.5000, 0.5000, 0.8097)
Pt (0.0000, 0.0000, 0.5000)

Principal peaks in the range 10 to 80 degrees two-theta, in order of rising 2θ:
2theta	I_rel
16.26	17.8
21.21	58.5
22.74	58.3
26.84	36.2
32.61	39.8
39.23	100.0
43.19	43.4
45.20	18.5
55.12	26.3
76.54	27.2